The following is a theoretical powder X-ray diffraction pattern of Pm6Os2Pt. It was derived from a crystal structure in Alexandria, relaxed with GGA-PBE, using Cu Kα X-rays.
Intensities are scaled so that the largest is 100.

Structure:
```
Pm6Os2Pt
1.0
6.877 0.000 0.000
0.000 7.506 0.000
-6.845 0.000 9.874
Pm Os Pt
12 4 2
Direct
0.084 0.174 0.429 Pm
0.084 0.326 0.929 Pm
0.242 0.669 0.423 Pm
0.242 0.831 0.923 Pm
0.412 0.060 0.242 Pm
0.412 0.440 0.742 Pm
0.588 0.560 0.258 Pm
0.588 0.940 0.758 Pm
0.758 0.169 0.077 Pm
0.758 0.331 0.577 Pm
0.916 0.674 0.071 Pm
0.916 0.826 0.571 Pm
0.211 0.112 0.748 Os
0.211 0.388 0.248 Os
0.789 0.612 0.752 Os
0.789 0.888 0.252 Os
0.500 0.000 0.500 Pt
0.500 0.500 0.000 Pt
```

The 10 most intense peaks (15° ≤ 2θ ≤ 90°), in order of rising 2θ:
2theta  Rel. int.
28.55  89
29.95  100
30.14  66
32.43  82
32.68  74
36.34  69
36.59  62
38.28  48
45.21  42
45.31  46



The following is a theoretical powder X-ray diffraction pattern of B3Pt6Au. It was derived from a crystal structure in Alexandria, relaxed with GGA-PBE, using Cu Kα X-rays.
Intensities are scaled so that the largest is 100.

Structure:
```
B3Pt6Au
1.0
5.630 0.000 0.000
0.454 5.626 0.000
2.809 2.120 4.437
B Pt Au
3 6 1
Direct
0.000 0.000 0.000 B
0.255 0.644 0.480 B
0.655 0.957 0.666 B
0.285 0.713 0.066 Pt
0.392 0.251 0.723 Pt
0.641 0.751 0.425 Pt
0.894 0.261 0.222 Pt
0.912 0.341 0.680 Pt
0.933 0.778 0.801 Pt
0.390 0.190 0.240 Au
```

The 10 most intense peaks (15° ≤ 2θ ≤ 90°), in order of rising 2θ:
2theta  Rel. int.
31.93  33
32.17  41
33.69  27
35.36  99
36.55  67
37.30  100
38.03  64
38.68  62
44.00  25
45.67  27



The following is a theoretical powder X-ray diffraction pattern of AcLu3. It was derived from a crystal structure in Alexandria, relaxed with GGA-PBE, using Cu Kα X-rays.
Intensities are scaled so that the largest is 100.

Structure:
```
AcLu3
1.0
3.702 0.000 0.000
0.000 11.427 0.000
0.000 0.000 6.233
Ac Lu
2 6
Direct
0.000 0.000 0.000 Ac
0.500 0.500 0.500 Ac
0.000 0.243 0.646 Lu
0.000 0.500 0.991 Lu
0.000 0.757 0.646 Lu
0.500 0.000 0.491 Lu
0.500 0.257 0.146 Lu
0.500 0.743 0.146 Lu
```

The 10 most intense peaks (15° ≤ 2θ ≤ 90°), in order of rising 2θ:
2theta  Rel. int.
28.03  19
28.64  15
31.31  33
32.19  100
32.73  39
42.52  12
50.36  18
56.29  20
60.38  14
60.51  20



The following is a theoretical powder X-ray diffraction pattern of AcNdY5. It was derived from a crystal structure in Alexandria, relaxed with GGA-PBE, using Cu Kα X-rays.
Intensities are scaled so that the largest is 100.

Structure:
```
AcNdY5
1.0
4.518 -4.959 0.000
4.518 4.959 0.000
-4.125 0.000 10.935
Ac Nd Y
2 2 10
Direct
0.000 0.500 0.000 Ac
0.500 0.000 0.500 Ac
0.236 0.764 0.750 Nd
0.764 0.236 0.250 Nd
0.052 0.200 0.666 Y
0.200 0.052 0.166 Y
0.227 0.435 0.464 Y
0.424 0.576 0.250 Y
0.435 0.227 0.964 Y
0.565 0.773 0.036 Y
0.576 0.424 0.750 Y
0.773 0.565 0.536 Y
0.800 0.948 0.834 Y
0.948 0.800 0.334 Y
```

The 10 most intense peaks (15° ≤ 2θ ≤ 90°), in order of rising 2θ:
2theta  Rel. int.
21.56  15
24.63  26
28.15  26
30.97  41
31.17  100
31.46  17
31.77  21
31.95  16
35.67  13
55.22  13



The following is a theoretical powder X-ray diffraction pattern of ScH8Ru2. It was derived from a crystal structure in Alexandria, relaxed with GGA-PBE, using Cu Kα X-rays.
Intensities are scaled so that the largest is 100.

Structure:
```
ScH8Ru2
1.0
4.046 -2.759 0.000
4.046 2.759 0.000
-0.005 0.000 3.451
Sc H Ru
1 8 2
Direct
0.000 0.000 0.000 Sc
0.054 0.683 0.500 H
0.267 0.267 0.000 H
0.317 0.946 0.500 H
0.500 0.500 0.240 H
0.500 0.500 0.760 H
0.683 0.054 0.500 H
0.733 0.733 0.000 H
0.946 0.317 0.500 H
0.312 0.312 0.500 Ru
0.688 0.688 0.500 Ru
```

The 10 most intense peaks (15° ≤ 2θ ≤ 90°), in order of rising 2θ:
2theta  Rel. int.
21.97  30
25.82  53
32.48  100
32.56  31
34.15  67
37.10  79
45.75  34
47.83  50
65.96  29
66.53  28



The following is a theoretical powder X-ray diffraction pattern of BaSi12Pd7. It was derived from a crystal structure in Alexandria, relaxed with GGA-PBE, using Cu Kα X-rays.
Intensities are scaled so that the largest is 100.

Structure:
```
BaSi12Pd7
1.0
6.343 3.662 2.360
-6.343 3.662 2.360
0.000 -7.324 2.360
Ba Si Pd
1 12 7
Direct
0.000 0.000 0.000 Ba
0.000 0.261 0.739 Si
0.000 0.739 0.261 Si
0.123 0.458 0.458 Si
0.261 0.000 0.739 Si
0.261 0.739 0.000 Si
0.458 0.123 0.458 Si
0.458 0.458 0.123 Si
0.542 0.542 0.877 Si
0.542 0.877 0.542 Si
0.739 0.000 0.261 Si
0.739 0.261 0.000 Si
0.877 0.542 0.542 Si
0.178 0.178 0.528 Pd
0.178 0.528 0.178 Pd
0.472 0.822 0.822 Pd
0.500 0.500 0.500 Pd
0.528 0.178 0.178 Pd
0.822 0.472 0.822 Pd
0.822 0.822 0.472 Pd
```

The 10 most intense peaks (15° ≤ 2θ ≤ 90°), in order of rising 2θ:
2theta  Rel. int.
20.47  47
24.86  75
33.26  100
35.04  27
38.14  32
41.62  44
42.77  99
45.74  34
48.78  28
58.63  30